The following is a computed X-ray powder pattern of Cd2PtPbO6. It was derived from DFT lattice parameters and positions (GGA-PBE), using Cu Kα.

Peak list (10 most intense, 2θ from 10° to 90°, by intensity)
- 29.24°, I 100
- 30.82°, I 52
- 53.83°, I 37
- 44.14°, I 28
- 19.41°, I 24
- 45.41°, I 22
- 50.84°, I 15
- 65.19°, I 15
- 21.66°, I 14
- 88.54°, I 10

Structural model:
Unit cell a=5.8029 b=5.8029 c=4.5728 alpha=90.00 beta=90.00 gamma=90.00
Atoms (fractional coordinates):
Cd1 0.0000 0.5000 0.0000
Cd2 0.5000 0.0000 0.0000
Pt1 0.0000 0.0000 0.6621
Pb1 0.5000 0.5000 0.5998
O1 0.0000 0.0000 0.2392
O2 0.2371 0.2371 0.7522
O3 0.2371 0.7629 0.7522
O4 0.5000 0.5000 0.1382
O5 0.7629 0.2371 0.7522
O6 0.7629 0.7629 0.7522

---

The following is a computed X-ray powder pattern of ErPu2MnSe5. It was derived from DFT lattice parameters and positions (GGA-PBE), using Cu Kα.

Peak list (10 most intense, 2θ from 10° to 90°, by intensity)
- 31.29°, I 100
- 36.97°, I 53
- 31.70°, I 40
- 23.83°, I 33
- 26.75°, I 30
- 44.59°, I 26
- 48.28°, I 21
- 55.74°, I 16
- 37.72°, I 14
- 33.92°, I 14

Structural model:
Unit cell a=8.9313 b=8.9313 c=12.4011 alpha=90.00 beta=90.00 gamma=153.70
Atoms (fractional coordinates):
Er1 0.2055 0.7945 0.5000
Er2 0.7945 0.2055 0.0000
Pu1 0.1089 0.8911 0.1696
Pu2 0.1290 0.8710 0.7953
Pu3 0.8710 0.1290 0.2953
Pu4 0.8911 0.1089 0.6696
Mn1 0.4491 0.5509 0.9370
Mn2 0.5509 0.4491 0.4370
Se1 0.0483 0.9517 0.5519
Se2 0.2854 0.7146 0.1581
Se3 0.3138 0.6862 0.8403
Se4 0.3664 0.6336 0.4863
Se5 0.4954 0.5046 0.2566
Se6 0.5046 0.4954 0.7566
Se7 0.6336 0.3664 0.9863
Se8 0.6862 0.3138 0.3403
Se9 0.7146 0.2854 0.6581
Se10 0.9517 0.0483 0.0519

---

The following is a computed X-ray powder pattern of Th2In3. It was derived from DFT lattice parameters and positions (GGA-PBE), using Cu Kα.

Peak list (10 most intense, 2θ from 10° to 90°, by intensity)
- 36.72°, I 100
- 29.58°, I 99
- 26.78°, I 54
- 36.10°, I 44
- 47.84°, I 27
- 61.79°, I 25
- 22.54°, I 19
- 66.13°, I 18
- 64.43°, I 16
- 65.72°, I 15

Structural model:
Unit cell a=7.7067 b=7.7067 c=7.7067 alpha=37.03 beta=37.03 gamma=37.03
Atoms (fractional coordinates):
Th1 0.0965 0.0965 0.0965
Th2 0.9035 0.9035 0.9035
In1 0.3448 0.3448 0.3448
In2 0.5000 0.5000 0.5000
In3 0.6552 0.6552 0.6552

---

The following is a computed X-ray powder pattern of Y2Zn15Ni2. It was derived from DFT lattice parameters and positions (GGA-PBE), using Cu Kα.

Peak list (10 most intense, 2θ from 10° to 90°, by intensity)
- 40.85°, I 100
- 40.67°, I 72
- 45.89°, I 70
- 41.36°, I 43
- 41.73°, I 32
- 36.04°, I 31
- 35.03°, I 30
- 75.06°, I 20
- 74.02°, I 19
- 59.40°, I 17

Structural model:
Unit cell a=6.7311 b=6.7311 c=6.7311 alpha=82.46 beta=82.46 gamma=82.46
Atoms (fractional coordinates):
Y1 0.1680 0.1680 0.1680
Y2 0.8320 0.8320 0.8320
Zn1 0.0000 0.5000 0.5000
Zn2 0.1502 0.1502 0.6519
Zn3 0.1502 0.6519 0.1502
Zn4 0.2156 0.5000 0.7844
Zn5 0.2156 0.7844 0.5000
Zn6 0.3481 0.8498 0.8498
Zn7 0.5000 0.0000 0.5000
Zn8 0.5000 0.2156 0.7844
Zn9 0.5000 0.5000 0.0000
Zn10 0.5000 0.7844 0.2156
Zn11 0.6519 0.1502 0.1502
Zn12 0.7844 0.2156 0.5000
Zn13 0.7844 0.5000 0.2156
Zn14 0.8498 0.3481 0.8498
Zn15 0.8498 0.8498 0.3481
Ni1 0.3982 0.3982 0.3982
Ni2 0.6018 0.6018 0.6018